Entry 1:
Structure and calculated X-ray diffraction stick pattern of Mg2Sb2Pd7 (DFT lattice parameters and positions (PBE); Cu Kα X-rays).
No peak broadening, texture or thermal motion is included.

Peak list (10 most intense, 2θ = 10–80°, most intense first)
| Position (°2θ) | I/Imax |
| --- | --- |
| 39.47 | 100 |
| 38.08 | 35 |
| 42.68 | 31 |
| 14.27 | 26 |
| 38.36 | 25 |
| 33.52 | 25 |
| 75.98 | 17 |
| 58.71 | 14 |
| 76.54 | 13 |
| 28.76 | 12 |

Structure:
a b c (Å): 7.4729 7.4729 7.4729
angles (deg): 147.06 67.77 122.62
Sites, in units of the cell vectors:
Mg1 0.0000 0.0000 0.0000
Mg2 0.6791 0.1791 0.5000
Sb1 0.2507 0.9577 0.2930
Sb2 0.6648 0.9577 0.7070
Pd1 0.0955 0.2531 0.8424
Pd2 0.1099 0.4703 0.6396
Pd3 0.2927 0.7927 0.5000
Pd4 0.4106 0.2531 0.1576
Pd5 0.5381 0.6815 0.8566
Pd6 0.8249 0.6815 0.1434
Pd7 0.8307 0.4703 0.3604

---

Entry 2:
Structure and calculated X-ray diffraction stick pattern of Mg4Sc3Pd4 (DFT lattice parameters and positions (PBE); Cu Kα X-rays).
No peak broadening, texture or thermal motion is included.

Peak list (10 most intense, 2θ = 10–80°, most intense first)
| Position (°2θ) | I/Imax |
| --- | --- |
| 36.96 | 100 |
| 24.73 | 75 |
| 35.31 | 73 |
| 22.52 | 66 |
| 44.69 | 58 |
| 40.91 | 53 |
| 37.48 | 40 |
| 39.25 | 38 |
| 68.71 | 32 |
| 12.29 | 30 |

Structure:
a b c (Å): 9.0282 9.0282 9.0282
angles (deg): 158.68 126.78 57.98
Sites, in units of the cell vectors:
Mg1 0.0206 0.8337 0.1869
Mg2 0.3532 0.1663 0.1869
Mg3 0.6468 0.8337 0.8131
Mg4 0.9794 0.1663 0.8131
Sc1 0.0000 0.5000 0.5000
Sc2 0.3995 0.3995 0.0000
Sc3 0.6005 0.6005 0.0000
Pd1 0.2607 0.7607 0.5000
Pd2 0.2935 0.0000 0.2935
Pd3 0.7065 0.0000 0.7065
Pd4 0.7393 0.2393 0.5000

---

Entry 3:
Structure and calculated X-ray diffraction stick pattern of Mg3Sc4Pd (DFT lattice parameters and positions (PBE); Cu Kα X-rays).
No peak broadening, texture or thermal motion is included.

Peak list (10 most intense, 2θ = 10–80°, most intense first)
| Position (°2θ) | I/Imax |
| --- | --- |
| 35.80 | 100 |
| 36.76 | 50 |
| 65.59 | 31 |
| 12.15 | 26 |
| 52.97 | 16 |
| 63.71 | 13 |
| 18.26 | 13 |
| 40.48 | 11 |
| 26.49 | 10 |
| 75.87 | 8 |

Structure:
a b c (Å): 3.4576 3.4576 14.5734
angles (deg): 90.00 90.00 90.00
Sites, in units of the cell vectors:
Mg1 0.0000 0.0000 0.0000
Mg2 0.0000 0.0000 0.2610
Mg3 0.0000 0.0000 0.7390
Sc1 0.5000 0.5000 0.1321
Sc2 0.5000 0.5000 0.3941
Sc3 0.5000 0.5000 0.6059
Sc4 0.5000 0.5000 0.8679
Pd1 0.0000 0.0000 0.5000

---

Entry 4:
Structure and calculated X-ray diffraction stick pattern of MgSc6Pd5 (DFT lattice parameters and positions (PBE); Cu Kα X-rays).
No peak broadening, texture or thermal motion is included.

Peak list (10 most intense, 2θ = 10–80°, most intense first)
| Position (°2θ) | I/Imax |
| --- | --- |
| 38.01 | 100 |
| 38.15 | 20 |
| 68.86 | 13 |
| 26.69 | 13 |
| 68.59 | 13 |
| 54.99 | 13 |
| 68.73 | 11 |
| 26.55 | 7 |
| 54.67 | 7 |
| 47.05 | 6 |

Structure:
a b c (Å): 8.1951 8.1951 8.1951
angles (deg): 146.54 131.63 60.09
Sites, in units of the cell vectors:
Mg1 0.0000 0.0000 0.0000
Sc1 0.0861 0.8287 0.2574
Sc2 0.2651 0.5000 0.7651
Sc3 0.4287 0.1713 0.2574
Sc4 0.5713 0.8287 0.7426
Sc5 0.7349 0.5000 0.2349
Sc6 0.9139 0.1713 0.7426
Pd1 0.1540 0.6540 0.5000
Pd2 0.3280 0.3280 0.0000
Pd3 0.5000 0.0000 0.5000
Pd4 0.6720 0.6720 0.0000
Pd5 0.8460 0.3460 0.5000

---

Entry 5:
Structure and calculated X-ray diffraction stick pattern of Mg2ScPd5 (DFT lattice parameters and positions (PBE); Cu Kα X-rays).
No peak broadening, texture or thermal motion is included.

Peak list (10 most intense, 2θ = 10–80°, most intense first)
| Position (°2θ) | I/Imax |
| --- | --- |
| 39.04 | 100 |
| 43.51 | 37 |
| 76.87 | 26 |
| 67.58 | 18 |
| 30.39 | 13 |
| 48.99 | 12 |
| 63.22 | 12 |
| 23.93 | 11 |
| 32.74 | 7 |
| 50.26 | 6 |

Structure:
a b c (Å): 7.9977 7.9977 7.9977
angles (deg): 149.85 149.85 43.16
Sites, in units of the cell vectors:
Mg1 0.2486 0.2486 0.0000
Mg2 0.7514 0.7514 0.0000
Sc1 0.5000 0.5000 0.0000
Pd1 0.0000 0.0000 0.0000
Pd2 0.1306 0.6306 0.5000
Pd3 0.3694 0.8694 0.5000
Pd4 0.6306 0.1306 0.5000
Pd5 0.8694 0.3694 0.5000

---

Entry 6:
Structure and calculated X-ray diffraction stick pattern of Mg2Sc2Pd7 (DFT lattice parameters and positions (PBE); Cu Kα X-rays).
No peak broadening, texture or thermal motion is included.

Peak list (10 most intense, 2θ = 10–80°, most intense first)
| Position (°2θ) | I/Imax |
| --- | --- |
| 32.60 | 100 |
| 36.05 | 97 |
| 20.08 | 81 |
| 36.49 | 75 |
| 49.22 | 65 |
| 39.67 | 63 |
| 33.19 | 62 |
| 37.71 | 47 |
| 44.91 | 41 |
| 36.24 | 41 |

Structure:
a b c (Å): 5.5908 5.5908 7.3784
angles (deg): 103.63 103.63 64.41
Sites, in units of the cell vectors:
Mg1 0.2476 0.7524 0.0000
Mg2 0.7524 0.2476 0.0000
Sc1 0.2656 0.2656 0.5848
Sc2 0.7344 0.7344 0.4152
Pd1 0.0335 0.0335 0.3145
Pd2 0.0693 0.5073 0.1937
Pd3 0.4927 0.9307 0.8063
Pd4 0.5000 0.5000 0.5000
Pd5 0.5073 0.0693 0.1937
Pd6 0.9307 0.4927 0.8063
Pd7 0.9665 0.9665 0.6855

---

Entry 7:
Structure and calculated X-ray diffraction stick pattern of Mg5Si16Pd10 (DFT lattice parameters and positions (PBE); Cu Kα X-rays).
No peak broadening, texture or thermal motion is included.

Peak list (10 most intense, 2θ = 10–80°, most intense first)
| Position (°2θ) | I/Imax |
| --- | --- |
| 40.33 | 100 |
| 47.68 | 71 |
| 24.37 | 59 |
| 30.81 | 29 |
| 36.92 | 29 |
| 73.31 | 28 |
| 23.32 | 25 |
| 14.00 | 23 |
| 19.85 | 21 |
| 51.59 | 20 |

Structure:
a b c (Å): 8.9463 8.9463 8.9463
angles (deg): 60.00 60.00 60.00
Sites, in units of the cell vectors:
Mg1 0.0000 0.0000 0.0000
Mg2 0.3470 0.3470 0.3470
Mg3 0.3470 0.3470 0.9591
Mg4 0.3470 0.9591 0.3470
Mg5 0.9591 0.3470 0.3470
Si1 0.2828 0.5724 0.5724
Si2 0.4135 0.6775 0.9545
Si3 0.4135 0.9545 0.6775
Si4 0.4135 0.9545 0.9545
Si5 0.5724 0.2828 0.5724
Si6 0.5724 0.5724 0.2828
Si7 0.5724 0.5724 0.5724
Si8 0.6775 0.4135 0.9545
Si9 0.6775 0.9545 0.4135
Si10 0.6775 0.9545 0.9545
Si11 0.9545 0.4135 0.6775
Si12 0.9545 0.4135 0.9545
Si13 0.9545 0.6775 0.4135
Si14 0.9545 0.6775 0.9545
Si15 0.9545 0.9545 0.4135
Si16 0.9545 0.9545 0.6775
Pd1 0.1277 0.1277 0.1277
Pd2 0.1277 0.1277 0.6168
Pd3 0.1277 0.6168 0.1277
Pd4 0.2635 0.2635 0.7365
Pd5 0.2635 0.7365 0.2635
Pd6 0.2635 0.7365 0.7365
Pd7 0.6168 0.1277 0.1277
Pd8 0.7365 0.2635 0.2635
Pd9 0.7365 0.2635 0.7365
Pd10 0.7365 0.7365 0.2635

---

Entry 8:
Structure and calculated X-ray diffraction stick pattern of MgSiPd6 (DFT lattice parameters and positions (PBE); Cu Kα X-rays).
No peak broadening, texture or thermal motion is included.

Peak list (10 most intense, 2θ = 10–80°, most intense first)
| Position (°2θ) | I/Imax |
| --- | --- |
| 36.84 | 100 |
| 39.96 | 98 |
| 40.40 | 92 |
| 32.93 | 80 |
| 43.12 | 76 |
| 41.16 | 54 |
| 46.75 | 52 |
| 68.23 | 36 |
| 28.24 | 26 |
| 17.80 | 25 |

Structure:
a b c (Å): 4.7289 5.4859 5.5598
angles (deg): 112.81 100.28 94.96
Sites, in units of the cell vectors:
Mg1 0.0000 0.0000 0.0000
Si1 0.5000 0.0000 0.5000
Pd1 0.1225 0.2629 0.5574
Pd2 0.2844 0.5945 0.1355
Pd3 0.4271 0.7723 0.7570
Pd4 0.5729 0.2277 0.2430
Pd5 0.7156 0.4055 0.8645
Pd6 0.8775 0.7371 0.4426